This entry pairs a crystal structure of RbSmIn2Br6 with its calculated powder XRD pattern. Radiation: copper Kα. Structure: a structure optimized by DFT (GGA-PBE).
Neutral-atom scattering factors, no anomalous dispersion.

Structure:
Unit cell a=8.237 b=8.245 c=8.567 alpha=61.29 beta=61.28 gamma=60.05
Atoms (fractional coordinates):
Rb1 0.000 0.000 0.000
Sm1 0.489 0.489 0.533
In1 0.290 0.290 0.129
In2 0.798 0.798 0.605
Br1 0.126 0.410 0.794
Br2 0.247 0.835 0.323
Br3 0.409 0.669 0.795
Br4 0.594 0.247 0.323
Br5 0.669 0.127 0.794
Br6 0.835 0.594 0.323

The 6 most intense peaks (2θ = 15–90°), low angle first:
20.8 deg, I 46, (1 1 2)
25.0 deg, I 88, (2 1 0)
30.1 deg, I 41, (2 2 0)
33.2 deg, I 100, (1 2 3)
37.3 deg, I 42, (1 -2 1)
37.8 deg, I 63, (3 3 2)